Diffraction record for Na2UAlSe5. The X-ray diffraction stick pattern is calculated, not measured: it uses a crystal structure in Alexandria, relaxed with GGA-PBE and Cu Kα (weighted mean of Kα1 and Kα2).
Kinematic intensities with the Lorentz-polarization factor, no thermal factor.

```
18
Lattice="2.0466 -8.9667 0.0000 2.0466 8.9667 0.0000 0.0000 0.0000 13.9675" Properties=species:S:1:pos:R:3 pbc="T T T"
Na 2.0466 7.3368 6.9838
Na 2.0466 7.2973 2.6198
Na 2.0466 -7.2973 9.6036
Na 2.0466 -7.3368 0.0000
U 2.0466 4.9178 12.1132
U 2.0466 -4.9178 5.1294
Al 2.0466 1.4129 3.5446
Al 2.0466 -1.4129 10.5284
Se 2.0466 7.7952 11.9853
Se 2.0466 3.9656 6.9497
Se 2.0466 3.8470 3.1643
Se 2.0466 2.3207 11.8158
Se 2.0466 0.1873 1.5939
Se 2.0466 -0.1873 8.5776
Se 2.0466 -2.3207 4.8320
Se 2.0466 -3.8470 10.1480
Se 2.0466 -3.9656 13.9334
Se 2.0466 -7.7952 5.0015
```

The 10 most intense peaks (10 to 90 degrees two-theta), sorted by position:
2θ/deg, I_rel
12.68, 59
16.09, 50
19.80, 17
23.18, 27
29.48, 100
30.59, 36
35.68, 25
39.37, 30
44.26, 18
49.42, 35

---

Diffraction record for Na3AlSiTe4. The X-ray diffraction stick pattern is calculated, not measured: it uses a crystal structure in Alexandria, relaxed with GGA-PBE and Cu Kα (weighted mean of Kα1 and Kα2).
Kinematic intensities with the Lorentz-polarization factor, no thermal factor.

```
9
Lattice="4.4825 0.0000 0.0000 -0.0095 6.8290 0.0000 -2.1603 -0.3994 9.1148" Properties=species:S:1:pos:R:3 pbc="T T T"
Na 0.0000 0.0000 0.0000
Na 0.0168 1.7681 3.4046
Na 0.0226 3.2618 7.1161
Al 2.2479 5.7727 4.9931
Si 2.2075 3.8737 1.9490
Te -0.0599 3.4739 0.3194
Te 0.0148 -0.1481 6.3123
Te 2.2343 6.5415 2.4082
Te 2.2653 3.2022 4.9937
```

The 10 most intense peaks (10 to 90 degrees two-theta), sorted by position:
2θ/deg, I_rel
22.99, 69
23.95, 43
24.37, 90
24.58, 42
24.79, 42
26.12, 100
31.49, 30
31.75, 42
40.23, 62
48.61, 36

---

Diffraction record for Na3AlSiTe4. The X-ray diffraction stick pattern is calculated, not measured: it uses a crystal structure in Alexandria, relaxed with GGA-PBE and Cu Kα (weighted mean of Kα1 and Kα2).
Kinematic intensities with the Lorentz-polarization factor, no thermal factor.

```
9
Lattice="8.2455 -2.1023 0.0000 8.2455 2.1023 0.0000 -4.6947 0.0000 9.3845" Properties=species:S:1:pos:R:3 pbc="T T T"
Na 0.0000 0.0000 0.0000
Na -2.0414 0.0000 5.8374
Na 3.6291 0.0000 2.7812
Al 7.9594 0.0000 3.1507
Si 11.0654 0.0000 5.1708
Te 3.7754 0.0000 6.7197
Te 9.9587 0.0000 1.5284
Te 8.5406 0.0000 5.7473
Te 14.5580 0.0000 2.6239
```

The 10 most intense peaks (10 to 90 degrees two-theta), sorted by position:
2θ/deg, I_rel
18.91, 68
21.98, 37
23.07, 46
24.14, 32
26.72, 100
27.93, 51
30.91, 30
32.11, 34
45.17, 42
49.39, 32

---

Diffraction record for NaAlSn. The X-ray diffraction stick pattern is calculated, not measured: it uses a crystal structure in Alexandria, relaxed with GGA-PBE and Cu Kα (weighted mean of Kα1 and Kα2).
Kinematic intensities with the Lorentz-polarization factor, no thermal factor.

```
6
Lattice="4.0146 0.0000 0.0000 -1.9756 5.5646 0.0000 -0.0120 -2.4233 6.7567" Properties=species:S:1:pos:R:3 pbc="T T T"
Na 0.0000 0.0000 0.0000
Na 0.0225 3.0054 1.2107
Al 0.0059 -1.2359 3.7891
Al 2.0166 -0.0331 5.3593
Sn 0.0172 2.0906 4.4088
Sn 2.0113 0.4863 2.5401
```

The 10 most intense peaks (10 to 90 degrees two-theta), sorted by position:
2θ/deg, I_rel
13.10, 99
17.58, 72
23.73, 33
26.12, 28
28.59, 58
33.49, 100
33.93, 53
34.12, 53
36.18, 47
45.17, 28

---

Diffraction record for NaAlSn. The X-ray diffraction stick pattern is calculated, not measured: it uses a crystal structure in Alexandria, relaxed with GGA-PBE and Cu Kα (weighted mean of Kα1 and Kα2).
Kinematic intensities with the Lorentz-polarization factor, no thermal factor.

```
6
Lattice="2.3169 1.3377 8.7649 -2.3169 1.3377 8.7649 0.0000 -2.6753 8.7649" Properties=species:S:1:pos:R:3 pbc="T T T"
Na 0.0000 0.0000 3.3941
Na 0.0000 0.0000 22.9006
Al 0.0000 0.0000 9.7687
Al 0.0000 0.0000 16.5260
Sn 0.0000 0.0000 6.9007
Sn 0.0000 0.0000 19.3939
```

The 10 most intense peaks (10 to 90 degrees two-theta), sorted by position:
2θ/deg, I_rel
20.26, 31
23.17, 100
26.01, 20
35.30, 51
38.87, 53
41.04, 15
44.22, 26
45.74, 17
53.51, 16
68.08, 15

---

Diffraction record for Na12Sr16Al. The X-ray diffraction stick pattern is calculated, not measured: it uses a crystal structure in Alexandria, relaxed with GGA-PBE and Cu Kα (weighted mean of Kα1 and Kα2).
Kinematic intensities with the Lorentz-polarization factor, no thermal factor.

```
29
Lattice="6.9256 -9.7445 0.0000 6.9256 9.7445 0.0000 -6.7552 0.0000 9.8296" Properties=species:S:1:pos:R:3 pbc="T T T"
Na 0.0000 0.0000 0.0000
Na 4.3756 8.0029 1.9227
Na 2.0329 3.6792 6.3698
Na -0.2430 1.7541 8.3074
Na 4.3948 1.8824 4.6836
Na 9.0543 3.6420 0.0579
Na -0.2430 -1.7541 8.3074
Na 4.3948 -1.8824 4.6836
Na 2.0329 -3.6792 6.3698
Na 7.0483 0.0000 6.1886
Na 4.3756 -8.0029 1.9227
Na 9.0543 -3.6420 0.0579
Sr -0.9342 6.2230 8.1092
Sr 1.2189 3.0785 2.1300
Sr 3.0316 7.6075 7.8579
Sr -0.0810 0.0000 4.7674
Sr 5.2200 3.7864 1.4498
Sr 5.1972 5.9831 4.9569
Sr 3.7107 0.0000 1.4412
Sr 1.2189 -3.0785 2.1300
Sr 5.2200 -3.7864 1.4498
Sr 3.3565 0.0000 8.0791
Sr 7.7542 0.0000 1.8783
Sr 8.2561 3.0046 4.2570
Sr -0.9342 -6.2230 8.1092
Sr 5.1972 -5.9831 4.9569
Sr 8.2561 -3.0046 4.2570
Sr 3.0316 -7.6075 7.8579
Al 10.1515 0.0000 4.8156
```

The 10 most intense peaks (10 to 90 degrees two-theta), sorted by position:
2θ/deg, I_rel
15.72, 29
24.17, 15
27.18, 96
27.35, 69
27.47, 100
30.34, 16
31.72, 11
47.84, 11
48.26, 21
48.50, 15

---

Diffraction record for Na2SrAl9. The X-ray diffraction stick pattern is calculated, not measured: it uses a crystal structure in Alexandria, relaxed with GGA-PBE and Cu Kα (weighted mean of Kα1 and Kα2).
Kinematic intensities with the Lorentz-polarization factor, no thermal factor.

```
12
Lattice="2.8702 1.6571 8.8430 -2.8702 1.6571 8.8430 0.0000 -3.3143 8.8430" Properties=species:S:1:pos:R:3 pbc="T T T"
Na 0.0000 0.0000 3.8012
Na 0.0000 0.0000 22.7278
Sr 0.0000 0.0000 0.0000
Al -1.4670 -0.8470 11.0514
Al 0.0000 0.0000 8.8851
Al 0.0000 -1.6940 15.4776
Al -1.4670 0.8470 15.4776
Al 0.0000 0.0000 13.2645
Al 1.4670 -0.8470 11.0514
Al 0.0000 1.6940 11.0514
Al 0.0000 0.0000 17.6439
Al 1.4670 0.8470 15.4776
```

The 10 most intense peaks (10 to 90 degrees two-theta), sorted by position:
2θ/deg, I_rel
10.00, 32
29.64, 23
31.16, 35
32.45, 27
36.30, 35
36.79, 20
37.35, 100
40.82, 21
59.58, 25
64.98, 21

---

Diffraction record for NaAlTe2. The X-ray diffraction stick pattern is calculated, not measured: it uses a crystal structure in Alexandria, relaxed with GGA-PBE and Cu Kα (weighted mean of Kα1 and Kα2).
Kinematic intensities with the Lorentz-polarization factor, no thermal factor.

```
8
Lattice="7.1499 0.0000 0.0000 -3.4957 6.2374 0.0000 -1.8607 -3.0940 7.3320" Properties=species:S:1:pos:R:3 pbc="T T T"
Na 0.0000 0.0000 0.0000
Na -0.0093 -0.0029 4.3975
Al 0.4222 4.0573 2.2004
Al 3.3292 2.3546 2.2001
Te -2.1598 4.4316 2.2014
Te 1.5979 2.7323 0.2150
Te 1.5974 2.7302 4.1853
Te 4.9175 0.2845 2.1956
```

The 10 most intense peaks (10 to 90 degrees two-theta), sorted by position:
2θ/deg, I_rel
12.07, 80
14.36, 22
23.12, 70
24.63, 58
25.65, 100
28.25, 28
28.39, 27
37.82, 20
37.97, 35
44.00, 44